Entry 1:
Diffraction record for Mg14ZnMo. The X-ray powder pattern is theoretical, not measured: it uses DFT lattice parameters and positions (GGA-PBE) and Cu Kα (weighted mean of Kα1 and Kα2).

Cell and atoms:
```
data_Mg14ZnMo
_space_group_name_H-M_alt 'A m m 2'
_space_group_IT_number 38
_space_group_name_Hall 'A 2 -2'
_cell_length_a 10.0775
_cell_length_b 6.2164
_cell_length_c 10.7993
_cell_angle_alpha 90.00
_cell_angle_beta 90.00
_cell_angle_gamma 90.00
loop_
_atom_site_label
_atom_site_fract_x
_atom_site_fract_y
_atom_site_fract_z
_atom_site_occupancy
Mg1 0.0000 0.0000 0.0000 1
Mg2 0.0000 0.0000 0.4999 1
Mg3 0.0000 0.2489 0.2521 1
Mg4 0.2524 0.0000 0.6666 1
Mg5 0.2575 0.0000 0.1626 1
Mg6 0.2666 0.2463 0.9216 1
Mg7 0.5000 0.2490 0.2480 1
Zn1 0.5000 0.0000 0.5025 1
Mo1 0.5000 0.0000 0.0025 1
```

Main lines, in order of rising 2θ (15° ≤ 2θ ≤ 90°):
two_theta  I_rel
16.42  11
17.60  8
18.65  16
33.23  27
34.44  8
35.64  25
37.85  100
49.52  17
59.33  11
65.48  17
71.17  12
72.66  9

---

Entry 2:
Diffraction record for YHgGeO4. The X-ray powder pattern is theoretical, not measured: it uses DFT lattice parameters and positions (GGA-PBE) and Cu Kα (weighted mean of Kα1 and Kα2).

Cell and atoms:
```
data_YHgGeO4
_space_group_name_H-M_alt 'C 1 2/m 1'
_space_group_IT_number 12
_space_group_name_Hall '-C 2y'
_cell_length_a 11.7278
_cell_length_b 6.2612
_cell_length_c 6.9384
_cell_angle_alpha 90.00
_cell_angle_beta 102.49
_cell_angle_gamma 90.00
loop_
_atom_site_label
_atom_site_fract_x
_atom_site_fract_y
_atom_site_fract_z
_atom_site_occupancy
Y1 0.2031 0.0000 0.3560 1
Hg1 0.1081 0.5000 0.9897 1
Ge1 0.1289 0.0000 0.7634 1
O1 0.0183 0.0000 0.2418 1
O2 0.1816 0.2127 0.6339 1
O3 0.2104 0.0000 0.0167 1
```

Main lines, in order of rising 2θ (15° ≤ 2θ ≤ 90°):
two_theta  I_rel
19.72  63
21.86  83
22.39  27
28.51  88
29.51  100
31.21  47
31.48  35
32.62  36
34.49  32
42.01  34
42.77  51
51.12  25

---

Entry 3:
Diffraction record for La6Pm5Y2. The X-ray powder pattern is theoretical, not measured: it uses DFT lattice parameters and positions (GGA-PBE) and Cu Kα (weighted mean of Kα1 and Kα2).

Cell and atoms:
```
data_La6Pm5Y2
_space_group_name_H-M_alt 'P b a m'
_space_group_IT_number 55
_space_group_name_Hall '-P 2 2ab'
_cell_length_a 11.9156
_cell_length_b 21.2119
_cell_length_c 3.6786
_cell_angle_alpha 90.00
_cell_angle_beta 90.00
_cell_angle_gamma 90.00
loop_
_atom_site_label
_atom_site_fract_x
_atom_site_fract_y
_atom_site_fract_z
_atom_site_occupancy
La1 0.0622 0.0802 0.0000 1
La2 0.0817 0.3672 0.0000 1
La3 0.1748 0.6365 0.5000 1
Pm1 0.0000 0.5000 0.5000 1
Pm2 0.0938 0.2265 0.5000 1
Pm3 0.1977 0.9433 0.5000 1
Y1 0.1646 0.7896 0.0000 1
```

Main lines, in order of rising 2θ (15° ≤ 2θ ≤ 90°):
two_theta  I_rel
25.71  14
30.30  44
30.47  100
30.84  11
31.24  94
33.24  29
33.95  16
35.62  31
49.57  21
50.24  14
59.25  30
60.73  11

---

Entry 4:
Diffraction record for Tb5PrPd2. The X-ray powder pattern is theoretical, not measured: it uses DFT lattice parameters and positions (GGA-PBE) and Cu Kα (weighted mean of Kα1 and Kα2).

Cell and atoms:
```
data_Tb5PrPd2
_space_group_name_H-M_alt 'C m c m'
_space_group_IT_number 63
_space_group_name_Hall '-C 2c 2'
_cell_length_a 3.8677
_cell_length_b 12.9492
_cell_length_c 18.2722
_cell_angle_alpha 90.00
_cell_angle_beta 90.00
_cell_angle_gamma 90.00
loop_
_atom_site_label
_atom_site_fract_x
_atom_site_fract_y
_atom_site_fract_z
_atom_site_occupancy
Tb1 0.0000 0.0537 0.1015 1
Tb2 0.0000 0.3447 0.0437 1
Tb3 0.0000 0.3852 0.7500 1
Pr1 0.0000 0.3497 0.2500 1
Pd1 0.0000 0.2593 0.6258 1
```

Main lines, in order of rising 2θ (15° ≤ 2θ ≤ 90°):
two_theta  I_rel
28.01  24
29.32  18
31.06  100
31.44  11
33.94  30
34.45  66
37.12  22
43.22  13
46.98  25
56.12  15
59.22  12
62.95  11

---

Entry 5:
Diffraction record for Rb2TaTe5. The X-ray powder pattern is theoretical, not measured: it uses DFT lattice parameters and positions (GGA-PBE) and Cu Kα (weighted mean of Kα1 and Kα2).

Cell and atoms:
```
data_Rb2TaTe5
_space_group_name_H-M_alt 'I m m 2'
_space_group_IT_number 44
_space_group_name_Hall 'I 2 -2'
_cell_length_a 6.6050
_cell_length_b 8.0822
_cell_length_c 13.0001
_cell_angle_alpha 90.00
_cell_angle_beta 90.00
_cell_angle_gamma 90.00
loop_
_atom_site_label
_atom_site_fract_x
_atom_site_fract_y
_atom_site_fract_z
_atom_site_occupancy
Rb1 0.0000 0.0000 0.0000 1
Rb2 0.0000 0.0000 0.4612 1
Ta1 0.0000 0.5000 0.1768 1
Te1 0.0000 0.5000 0.9784 1
Te2 0.2415 0.2452 0.7413 1
```

Main lines, in order of rising 2θ (15° ≤ 2θ ≤ 90°):
two_theta  I_rel
15.05  48
22.12  30
25.96  100
26.76  32
27.44  62
30.36  66
35.09  95
44.86  28
45.11  62
47.61  41
50.37  26
55.13  24

---

Entry 6:
Diffraction record for Ac3Ge2Pt7. The X-ray powder pattern is theoretical, not measured: it uses DFT lattice parameters and positions (GGA-PBE) and Cu Kα (weighted mean of Kα1 and Kα2).

Cell and atoms:
```
data_Ac3Ge2Pt7
_space_group_name_H-M_alt 'P -1'
_space_group_IT_number 2
_space_group_name_Hall '-P 1'
_cell_length_a 4.2718
_cell_length_b 4.2719
_cell_length_c 15.4945
_cell_angle_alpha 97.82
_cell_angle_beta 97.92
_cell_angle_gamma 90.05
loop_
_atom_site_label
_atom_site_fract_x
_atom_site_fract_y
_atom_site_fract_z
_atom_site_occupancy
Ac1 0.0000 0.0000 0.0000 1
Ac2 0.2020 0.2031 0.4046 1
Ge1 0.4208 0.4185 0.8400 1
Pt1 0.1200 0.6226 0.2415 1
Pt2 0.3121 0.3109 0.6235 1
Pt3 0.3798 0.8780 0.7585 1
Pt4 0.5000 0.5000 0.0000 1
```

Main lines, in order of rising 2θ (15° ≤ 2θ ≤ 90°):
two_theta  I_rel
17.50  16
29.38  36
29.57  14
31.88  100
34.57  28
38.05  50
42.17  28
42.31  66
46.80  16
52.33  22
61.38  22
70.85  21